1.
Structure and computed X-ray powder pattern of Ba2PmSn7 (a DFT-relaxed cell (GGA-PBE, Alexandria); Cu Kα X-rays).
Kinematic intensities with the Lorentz-polarization factor, no thermal factor.

Cell lengths 4.9494, 4.9494, 13.7719 Å; angles 90.00, 90.00, 90.00 degrees
Fractional positions:
Ba: 0.0000 0.5000 0.2388
Ba: 0.5000 0.0000 0.7612
Pm: 0.0000 0.0000 0.5000
Sn: 0.0000 0.0000 0.0000
Sn: 0.0000 0.5000 0.6504
Sn: 0.0000 0.5000 0.8684
Sn: 0.5000 0.0000 0.1316
Sn: 0.5000 0.0000 0.3496
Sn: 0.5000 0.5000 0.0000
Sn: 0.5000 0.5000 0.5000

Largest 8 diffraction maxima, in order of rising 2θ, 2θ from 10° to 90°:
- 26.5 deg, I 37
- 28.6 deg, I 100
- 36.3 deg, I 56
- 36.6 deg, I 34
- 37.4 deg, I 32
- 52.3 deg, I 20
- 53.1 deg, I 23
- 60.7 deg, I 24

2.
Structure and computed X-ray powder pattern of BaPm5Te8 (a DFT-relaxed cell (GGA-PBE, Alexandria); Cu Kα X-rays).
Kinematic intensities with the Lorentz-polarization factor, no thermal factor.

Cell lengths 9.4287, 9.4287, 9.4287 Å; angles 60.00, 60.00, 60.00 degrees
Fractional positions:
Ba: 0.0000 0.0000 0.0000
Pm: 0.1219 0.6260 0.6260
Pm: 0.2500 0.2500 0.2500
Pm: 0.6260 0.1219 0.6260
Pm: 0.6260 0.6260 0.1219
Pm: 0.6260 0.6260 0.6260
Te: 0.3824 0.3824 0.3824
Te: 0.3824 0.3824 0.8527
Te: 0.3824 0.8527 0.3824
Te: 0.4217 0.8594 0.8594
Te: 0.8527 0.3824 0.3824
Te: 0.8594 0.4217 0.8594
Te: 0.8594 0.8594 0.4217
Te: 0.8594 0.8594 0.8594

Largest 8 diffraction maxima, in order of rising 2θ, 2θ from 10° to 90°:
- 11.5 deg, I 16
- 18.8 deg, I 18
- 22.1 deg, I 54
- 26.7 deg, I 65
- 35.0 deg, I 44
- 38.2 deg, I 100
- 62.3 deg, I 18
- 69.0 deg, I 29

3.
Structure and computed X-ray powder pattern of BaPm5Tl6 (a DFT-relaxed cell (GGA-PBE, Alexandria); Cu Kα X-rays).
Kinematic intensities with the Lorentz-polarization factor, no thermal factor.

Cell lengths 9.6675, 9.6675, 5.6059 Å; angles 106.46, 106.46, 47.56 degrees
Fractional positions:
Ba: 0.0000 0.0000 0.0000
Pm: 0.1584 0.1584 0.6583
Pm: 0.3296 0.3296 0.3292
Pm: 0.5000 0.5000 0.0000
Pm: 0.6704 0.6704 0.6708
Pm: 0.8416 0.8416 0.3417
Tl: 0.0879 0.5664 0.8272
Tl: 0.2749 0.7251 0.5000
Tl: 0.4336 0.9121 0.1728
Tl: 0.5664 0.0879 0.8272
Tl: 0.7251 0.2749 0.5000
Tl: 0.9121 0.4336 0.1728

Largest 8 diffraction maxima, in order of rising 2θ, 2θ from 10° to 90°:
- 31.9 deg, I 100
- 32.1 deg, I 97
- 32.3 deg, I 96
- 45.6 deg, I 18
- 46.0 deg, I 18
- 56.9 deg, I 37
- 57.2 deg, I 19
- 57.6 deg, I 34

4.
Structure and computed X-ray powder pattern of BaPmZn10 (a DFT-relaxed cell (GGA-PBE, Alexandria); Cu Kα X-rays).
Kinematic intensities with the Lorentz-polarization factor, no thermal factor.

Cell lengths 4.2875, 5.5597, 9.5726 Å; angles 90.00, 90.00, 90.00 degrees
Fractional positions:
Ba: 0.0000 0.0000 0.0000
Pm: 0.0000 0.5000 0.5000
Zn: 0.0000 0.0000 0.3412
Zn: 0.0000 0.0000 0.6588
Zn: 0.0000 0.5000 0.1756
Zn: 0.0000 0.5000 0.8244
Zn: 0.5000 0.0000 0.5000
Zn: 0.5000 0.2602 0.2665
Zn: 0.5000 0.2602 0.7335
Zn: 0.5000 0.5000 0.0000
Zn: 0.5000 0.7398 0.2665
Zn: 0.5000 0.7398 0.7335

Largest 8 diffraction maxima, in order of rising 2θ, 2θ from 10° to 90°:
- 27.9 deg, I 55
- 32.3 deg, I 28
- 37.4 deg, I 34
- 38.6 deg, I 50
- 38.7 deg, I 100
- 42.2 deg, I 38
- 54.1 deg, I 19
- 61.8 deg, I 23

5.
Structure and computed X-ray powder pattern of BaPr2Ru (a DFT-relaxed cell (GGA-PBE, Alexandria); Cu Kα X-rays).
Kinematic intensities with the Lorentz-polarization factor, no thermal factor.

Cell lengths 10.0600, 10.0600, 10.0600 Å; angles 24.40, 24.40, 24.40 degrees
Fractional positions:
Ba: 0.0000 0.0000 0.0000
Pr: 0.2175 0.2175 0.2175
Pr: 0.4516 0.4516 0.4516
Ru: 0.8345 0.8345 0.8345

Largest 8 diffraction maxima, in order of rising 2θ, 2θ from 10° to 90°:
- 27.1 deg, I 46
- 27.4 deg, I 18
- 28.6 deg, I 100
- 34.6 deg, I 36
- 42.5 deg, I 51
- 47.3 deg, I 31
- 51.3 deg, I 19
- 52.1 deg, I 19

6.
Structure and computed X-ray powder pattern of Ba5PrS6 (a DFT-relaxed cell (GGA-PBE, Alexandria); Cu Kα X-rays).
Kinematic intensities with the Lorentz-polarization factor, no thermal factor.

Cell lengths 7.7460, 7.7460, 7.7399 Å; angles 99.63, 99.63, 119.94 degrees
Fractional positions:
Ba: 0.0000 0.0000 0.0000
Ba: 0.1662 0.8338 0.5000
Ba: 0.3308 0.6692 0.0000
Ba: 0.6692 0.3308 0.0000
Ba: 0.8338 0.1662 0.5000
Pr: 0.5000 0.5000 0.5000
S: 0.1089 0.4212 0.2634
S: 0.2682 0.2682 0.7382
S: 0.4212 0.1089 0.2634
S: 0.5788 0.8911 0.7366
S: 0.7318 0.7318 0.2618
S: 0.8911 0.5788 0.7366

Largest 8 diffraction maxima, in order of rising 2θ, 2θ from 10° to 90°:
- 24.4 deg, I 17
- 24.4 deg, I 51
- 28.2 deg, I 100
- 40.3 deg, I 73
- 47.7 deg, I 36
- 50.0 deg, I 26
- 66.1 deg, I 22
- 73.3 deg, I 14